Diffraction record for Li5H5Rh. The X-ray diffraction stick pattern is calculated, not measured: it uses a cell relaxed with PBE and CuKα.
Neutral-atom scattering factors, no anomalous dispersion.

Unit cell a=8.8022 b=3.9667 c=5.7182 alpha=90.00 beta=106.10 gamma=90.00
Space group C2/m (No. 12)
One atom of each set of equivalent atoms:
Li  0.0000  0.0000  0.0000 (multiplicity 2)
Li  0.1627  0.5000  0.8134 (multiplicity 4)
Li  0.1713  0.5000  0.3469 (multiplicity 4)
H  0.0000  0.5000  0.5000 (multiplicity 2)
H  0.1430  0.0000  0.3378 (multiplicity 4)
H  0.1475  0.0000  0.7861 (multiplicity 4)
Rh  0.0000  0.0000  0.5000 (multiplicity 2)

Most intense lines, 2θ = 10–90°, by angle:
2θ = 16.1°, rel. 100
2θ = 21.0°, rel. 49
2θ = 22.7°, rel. 42
2θ = 24.8°, rel. 68
2θ = 28.0°, rel. 46
2θ = 30.0°, rel. 19
2θ = 31.3°, rel. 34
2θ = 32.6°, rel. 15
2θ = 38.9°, rel. 49
2θ = 39.2°, rel. 29



Diffraction record for BAs2PbBr. The X-ray diffraction stick pattern is calculated, not measured: it uses a cell relaxed with PBE and CuKα.
Neutral-atom scattering factors, no anomalous dispersion.

Unit cell a=4.3510 b=4.3510 c=6.1870 alpha=90.00 beta=90.00 gamma=90.00
Space group P4/mmm (No. 123)
One atom of each set of equivalent atoms:
B  0.0000  0.0000  0.0000 (multiplicity 1)
As  0.0000  0.5000  0.0000 (multiplicity 2)
Pb  0.5000  0.5000  0.5000 (multiplicity 1)
Br  0.0000  0.0000  0.5000 (multiplicity 1)

Most intense lines, 2θ = 10–90°, by angle:
2θ = 14.3°, rel. 13
2θ = 25.0°, rel. 17
2θ = 28.9°, rel. 37
2θ = 32.5°, rel. 100
2θ = 41.5°, rel. 27
2θ = 51.3°, rel. 30
2θ = 53.5°, rel. 25
2θ = 68.1°, rel. 14
2θ = 70.1°, rel. 22
2θ = 84.7°, rel. 14



Diffraction record for CaC2S2O6F6. The X-ray diffraction stick pattern is calculated, not measured: it uses a cell relaxed with PBE and CuKα.
Neutral-atom scattering factors, no anomalous dispersion.

Unit cell a=5.6732 b=5.6732 c=31.4833 alpha=90.00 beta=90.00 gamma=120.00
Space group R-3 (No. 148, hexagonal axes)
One atom of each set of equivalent atoms:
Ca  0.0000  0.0000  0.0000 (multiplicity 3)
C  0.0000  0.0000  0.2197 (multiplicity 6)
S  0.0000  0.0000  0.2790 (multiplicity 6)
O  0.0504  0.5724  0.3763 (multiplicity 18)
F  0.0777  0.8251  0.2052 (multiplicity 18)

Most intense lines, 2θ = 10–90°, by angle:
2θ = 18.3°, rel. 9
2θ = 18.9°, rel. 45
2θ = 21.3°, rel. 100
2θ = 26.9°, rel. 7
2θ = 33.8°, rel. 15
2θ = 34.2°, rel. 15
2θ = 36.0°, rel. 8
2θ = 43.4°, rel. 17
2θ = 44.3°, rel. 10
2θ = 50.5°, rel. 12



Q: Number 3 is which compound?
A: CaC2S2O6F6



Q: Which formula does entry 2 have?
A: BAs2PbBr